Entry 1:
For CePm2Pb2, a GGA-PBE-relaxed structure gives the calculated PXRD pattern in this record (Cu Kα (weighted mean of Kα1 and Kα2)).
Lines closer than 0.1° are merged.

Top 8 peaks for 2θ = 10–90°, sorted by position:
Position (°2θ), I/Imax
26.66, 30
29.32, 100
32.42, 25
35.12, 37
35.42, 34
40.04, 35
44.88, 16
63.46, 30

a b c (Å): 9.860 9.860 6.687
angles (deg): 90.00 90.00 150.22
Fractional positions:
Ce 0.098 0.902 0.500
Ce 0.902 0.098 0.000
Pm 0.307 0.693 0.504
Pm 0.499 0.501 0.251
Pm 0.501 0.499 0.751
Pm 0.693 0.307 0.004
Pb 0.080 0.920 0.001
Pb 0.307 0.693 0.005
Pb 0.693 0.307 0.505
Pb 0.920 0.080 0.501



Entry 2:
For CePm12Pb7, a GGA-PBE-relaxed structure gives the calculated PXRD pattern in this record (Cu Kα (weighted mean of Kα1 and Kα2)).
Lines closer than 0.1° are merged.

Top 8 peaks for 2θ = 10–90°, sorted by position:
Position (°2θ), I/Imax
27.71, 53
29.91, 25
30.70, 100
33.77, 95
35.80, 84
50.02, 26
50.59, 31
61.72, 29

a b c (Å): 9.670 9.670 9.670
angles (deg): 110.87 110.87 110.87
Fractional positions:
Ce 0.000 0.000 0.000
Pm 0.000 0.276 0.724
Pm 0.000 0.724 0.276
Pm 0.160 0.495 0.495
Pm 0.276 0.000 0.724
Pm 0.276 0.724 0.000
Pm 0.495 0.160 0.495
Pm 0.495 0.495 0.160
Pm 0.505 0.505 0.840
Pm 0.505 0.840 0.505
Pm 0.724 0.000 0.276
Pm 0.724 0.276 0.000
Pm 0.840 0.505 0.505
Pb 0.136 0.136 0.446
Pb 0.136 0.446 0.136
Pb 0.446 0.136 0.136
Pb 0.500 0.500 0.500
Pb 0.554 0.864 0.864
Pb 0.864 0.554 0.864
Pb 0.864 0.864 0.554



Entry 3:
For CePm5Pb4, a GGA-PBE-relaxed structure gives the calculated PXRD pattern in this record (Cu Kα (weighted mean of Kα1 and Kα2)).
Lines closer than 0.1° are merged.

Top 8 peaks for 2θ = 10–90°, sorted by position:
Position (°2θ), I/Imax
20.75, 15
24.55, 10
32.19, 55
33.42, 100
46.17, 20
58.21, 30
60.52, 14
70.21, 11

a b c (Å): 8.796 8.796 7.331
angles (deg): 90.08 90.08 36.84
Fractional positions:
Ce 0.000 0.000 0.000
Pm 0.000 0.000 0.500
Pm 0.334 0.334 0.007
Pm 0.334 0.334 0.490
Pm 0.666 0.666 0.510
Pm 0.666 0.666 0.993
Pb 0.176 0.176 0.749
Pb 0.491 0.491 0.748
Pb 0.509 0.509 0.252
Pb 0.824 0.824 0.251



Entry 4:
For CePmRuPb, a GGA-PBE-relaxed structure gives the calculated PXRD pattern in this record (Cu Kα (weighted mean of Kα1 and Kα2)).
Lines closer than 0.1° are merged.

Top 8 peaks for 2θ = 10–90°, sorted by position:
Position (°2θ), I/Imax
28.04, 18
31.17, 10
33.44, 100
37.13, 45
49.24, 12
53.52, 16
57.28, 13
64.59, 30

a b c (Å): 3.424 3.424 8.607
angles (deg): 90.00 90.00 90.00
Fractional positions:
Ce 0.000 0.000 0.000
Pm 0.000 0.000 0.408
Ru 0.500 0.500 0.193
Pb 0.500 0.500 0.704



Entry 5:
For CePr3Pb4, a GGA-PBE-relaxed structure gives the calculated PXRD pattern in this record (Cu Kα (weighted mean of Kα1 and Kα2)).
Lines closer than 0.1° are merged.

Top 8 peaks for 2θ = 10–90°, sorted by position:
Position (°2θ), I/Imax
29.85, 100
33.48, 74
33.64, 73
42.73, 38
55.23, 18
55.34, 18
62.02, 19
70.34, 27

a b c (Å): 8.064 8.064 5.986
angles (deg): 111.44 111.44 43.57
Fractional positions:
Ce 0.000 0.000 0.000
Pr 0.248 0.248 0.248
Pr 0.500 0.500 0.500
Pr 0.752 0.752 0.752
Pb 0.125 0.125 0.625
Pb 0.375 0.375 0.875
Pb 0.625 0.625 0.125
Pb 0.875 0.875 0.375



Entry 6:
For Ce2Pr2Pb7, a GGA-PBE-relaxed structure gives the calculated PXRD pattern in this record (Cu Kα (weighted mean of Kα1 and Kα2)).
Lines closer than 0.1° are merged.

Top 8 peaks for 2θ = 10–90°, sorted by position:
Position (°2θ), I/Imax
22.26, 50
24.38, 66
27.32, 40
31.56, 65
34.76, 100
38.98, 42
44.75, 40
49.97, 38

a b c (Å): 7.412 7.412 7.298
angles (deg): 90.00 90.00 99.83
Fractional positions:
Ce 0.219 0.781 0.000
Ce 0.781 0.219 0.000
Pr 0.311 0.311 0.500
Pr 0.689 0.689 0.500
Pb 0.000 0.000 0.291
Pb 0.000 0.000 0.709
Pb 0.000 0.500 0.286
Pb 0.000 0.500 0.714
Pb 0.500 0.000 0.286
Pb 0.500 0.000 0.714
Pb 0.500 0.500 0.000



Entry 7:
For CePr2Pb9, a GGA-PBE-relaxed structure gives the calculated PXRD pattern in this record (Cu Kα (weighted mean of Kα1 and Kα2)).
Lines closer than 0.1° are merged.

Top 8 peaks for 2θ = 10–90°, sorted by position:
Position (°2θ), I/Imax
31.36, 100
36.37, 51
52.38, 36
62.26, 14
62.38, 29
65.45, 13
85.69, 13
88.58, 12

a b c (Å): 4.936 4.936 14.843
angles (deg): 90.00 90.00 90.00
Fractional positions:
Ce 0.000 0.000 0.000
Pr 0.000 0.000 0.330
Pr 0.000 0.000 0.670
Pb 0.000 0.500 0.164
Pb 0.000 0.500 0.500
Pb 0.000 0.500 0.836
Pb 0.500 0.000 0.164
Pb 0.500 0.000 0.500
Pb 0.500 0.000 0.836
Pb 0.500 0.500 0.000
Pb 0.500 0.500 0.333
Pb 0.500 0.500 0.667



Entry 8:
For Ce8PrPb6, a GGA-PBE-relaxed structure gives the calculated PXRD pattern in this record (Cu Kα (weighted mean of Kα1 and Kα2)).
Lines closer than 0.1° are merged.

Top 8 peaks for 2θ = 10–90°, sorted by position:
Position (°2θ), I/Imax
18.53, 23
22.99, 19
32.38, 100
33.09, 71
42.76, 35
46.97, 27
57.75, 19
58.20, 29

a b c (Å): 8.584 8.584 8.584
angles (deg): 67.82 67.82 67.82
Fractional positions:
Ce 0.070 0.407 0.743
Ce 0.166 0.166 0.166
Ce 0.257 0.930 0.593
Ce 0.407 0.743 0.070
Ce 0.593 0.257 0.930
Ce 0.743 0.070 0.407
Ce 0.834 0.834 0.834
Ce 0.930 0.593 0.257
Pr 0.500 0.500 0.500
Pb 0.095 0.758 0.426
Pb 0.242 0.574 0.905
Pb 0.426 0.095 0.758
Pb 0.574 0.905 0.242
Pb 0.758 0.426 0.095
Pb 0.905 0.242 0.574



Entry 9:
For Ce5PrPb6, a GGA-PBE-relaxed structure gives the calculated PXRD pattern in this record (Cu Kα (weighted mean of Kα1 and Kα2)).
Lines closer than 0.1° are merged.

Top 8 peaks for 2θ = 10–90°, sorted by position:
Position (°2θ), I/Imax
29.85, 71
34.23, 100
42.73, 27
55.85, 50
63.91, 17
72.11, 12
72.78, 12
88.23, 11

a b c (Å): 10.036 10.036 5.983
angles (deg): 107.30 107.30 38.82
Fractional positions:
Ce 0.000 0.000 0.000
Ce 0.167 0.167 0.667
Ce 0.335 0.335 0.335
Ce 0.665 0.665 0.665
Ce 0.833 0.833 0.333
Pr 0.500 0.500 0.000
Pb 0.081 0.584 0.832
Pb 0.248 0.752 0.500
Pb 0.416 0.919 0.168
Pb 0.584 0.081 0.832
Pb 0.752 0.248 0.500
Pb 0.919 0.416 0.168



Entry 10:
For Ce6PtPb3, a GGA-PBE-relaxed structure gives the calculated PXRD pattern in this record (Cu Kα (weighted mean of Kα1 and Kα2)).
Lines closer than 0.1° are merged.

Top 8 peaks for 2θ = 10–90°, sorted by position:
Position (°2θ), I/Imax
28.54, 36
31.01, 41
31.80, 23
31.92, 27
32.06, 27
33.25, 19
33.63, 100
37.70, 23

a b c (Å): 5.682 9.076 11.951
angles (deg): 90.00 110.20 90.00
Fractional positions:
Ce 0.014 0.140 0.052
Ce 0.014 0.360 0.552
Ce 0.393 0.543 0.261
Ce 0.393 0.957 0.761
Ce 0.425 0.180 0.415
Ce 0.425 0.320 0.915
Ce 0.575 0.680 0.085
Ce 0.575 0.820 0.585
Ce 0.607 0.043 0.239
Ce 0.607 0.457 0.739
Ce 0.986 0.640 0.448
Ce 0.986 0.860 0.948
Pt 0.500 0.000 0.000
Pt 0.500 0.500 0.500
Pb 0.000 0.000 0.500
Pb 0.000 0.500 0.000
Pb 0.137 0.637 0.760
Pb 0.137 0.863 0.260
Pb 0.863 0.137 0.740
Pb 0.863 0.363 0.240



Entry 11:
For CeScPtPb, a GGA-PBE-relaxed structure gives the calculated PXRD pattern in this record (Cu Kα (weighted mean of Kα1 and Kα2)).
Lines closer than 0.1° are merged.

Top 8 peaks for 2θ = 10–90°, sorted by position:
Position (°2θ), I/Imax
21.18, 6
24.51, 16
34.94, 100
50.24, 18
56.67, 7
62.65, 37
73.79, 12
84.32, 17

a b c (Å): 5.136 5.136 5.136
angles (deg): 60.00 60.00 60.00
Fractional positions:
Ce 0.000 0.000 0.000
Sc 0.500 0.500 0.500
Pt 0.250 0.250 0.250
Pb 0.750 0.750 0.750



Entry 12:
For Ce2PuPb, a GGA-PBE-relaxed structure gives the calculated PXRD pattern in this record (Cu Kα (weighted mean of Kα1 and Kα2)).
Lines closer than 0.1° are merged.

Top 8 peaks for 2θ = 10–90°, sorted by position:
Position (°2θ), I/Imax
32.15, 100
32.32, 99
36.92, 35
37.63, 66
53.74, 48
63.53, 15
64.39, 28
64.69, 28

a b c (Å): 6.825 6.825 6.825
angles (deg): 120.36 88.95 120.86
Fractional positions:
Ce 0.000 0.000 0.000
Ce 0.500 0.000 0.000
Ce 0.500 0.000 0.500
Ce 0.500 0.500 0.500
Pu 0.000 0.000 0.500
Pu 0.000 0.500 0.000
Pb 0.000 0.500 0.500
Pb 0.500 0.500 0.000